No. 1
Structure and simulated XRD peak list of KRbAsF6 (a PBE-relaxed structure; Cu Kα X-rays).
Neutral-atom scattering factors, no anomalous dispersion.

Structure:
```
data_KRbAsF6
_chemical_formula_sum 'K1 Rb1 As1 F6'
_symmetry_space_group_name_H-M 'P 3 1 2'
_symmetry_Int_Tables_number 149
_cell_length_a 6.3070
_cell_length_b 6.3070
_cell_length_c 5.4077
_cell_angle_alpha 90.00
_cell_angle_beta 90.00
_cell_angle_gamma 120.00
loop_
_symmetry_equiv_pos_as_xyz
'x,y,z'
'-y,x-y,z'
'-x+y,-x,z'
'-y,-x,-z'
'-x+y,y,-z'
'x,x-y,-z'
loop_
_atom_site_label
_atom_site_type_symbol
_atom_site_fract_x
_atom_site_fract_y
_atom_site_fract_z
K1 K 0.0000 0.0000 0.0000
Rb1 Rb 0.6667 0.3333 0.5000
As1 As 0.3333 0.6667 0.0000
F1 F 0.0811 0.4156 0.2023
```

Main lines, by intensity (10° ≤ 2θ ≤ 80°):
| Position (°2θ) | I/Imax | h k l |
| --- | --- | --- |
| 23.1 | 100 | 1 0 1 |
| 44.1 | 40 | 2 -1 2 |
| 28.3 | 32 | 1 1 0 |
| 47.1 | 29 | 3 -1 1 |
| 36.9 | 24 | 2 0 1 |
| 16.2 | 21 | 1 0 0 |
| 50.1 | 14 | 3 0 0 |
| 32.9 | 12 | 2 -1 1 |


No. 2
Structure and simulated XRD peak list of KTl2AsF6 (a PBE-relaxed structure; Cu Kα X-rays).
Neutral-atom scattering factors, no anomalous dispersion.

Structure:
```
data_KTl2AsF6
_chemical_formula_sum 'K1 Tl2 As1 F6'
_symmetry_space_group_name_H-M 'P 1'
_symmetry_Int_Tables_number 1
_cell_length_a 6.5318
_cell_length_b 6.5409
_cell_length_c 6.5486
_cell_angle_alpha 60.59
_cell_angle_beta 60.58
_cell_angle_gamma 60.33
loop_
_symmetry_equiv_pos_as_xyz
'x,y,z'
loop_
_atom_site_label
_atom_site_type_symbol
_atom_site_fract_x
_atom_site_fract_y
_atom_site_fract_z
K1 K 0.0000 0.0000 0.0000
Tl1 Tl 0.2302 0.2296 0.2262
Tl2 Tl 0.7499 0.7501 0.7499
As1 As 0.5086 0.5083 0.5069
F1 F 0.1884 0.7951 0.3611
F2 F 0.3252 0.6566 0.7647
F3 F 0.3647 0.1793 0.7995
F4 F 0.6550 0.7651 0.3240
F5 F 0.7689 0.3249 0.6535
F6 F 0.7947 0.3646 0.1838
```

Main lines, by intensity (10° ≤ 2θ ≤ 80°):
| Position (°2θ) | I/Imax | h k l |
| --- | --- | --- |
| 27.0 | 100 | 0 1 -1 |
| 19.1 | 94 | 1 1 0 |
| 27.2 | 94 | 1 -1 0 |
| 27.3 | 91 | 2 1 1 |
| 47.9 | 61 | 1 -2 1 |
| 38.8 | 51 | 0 2 2 |
| 33.4 | 31 | 2 0 0 |
| 38.7 | 26 | 2 2 0 |


No. 3
Structure and simulated XRD peak list of RbMgAsF6 (a PBE-relaxed structure; Cu Kα X-rays).
Neutral-atom scattering factors, no anomalous dispersion.

Structure:
```
data_RbMgAsF6
_chemical_formula_sum 'Rb2 Mg2 As2 F12'
_symmetry_space_group_name_H-M 'C 1 2 1'
_symmetry_Int_Tables_number 5
_cell_length_a 5.5295
_cell_length_b 9.6048
_cell_length_c 6.0525
_cell_angle_alpha 90.00
_cell_angle_beta 90.05
_cell_angle_gamma 90.00
loop_
_symmetry_equiv_pos_as_xyz
'x,y,z'
'-x,y,-z'
'x+1/2,y+1/2,z'
'-x+1/2,y+1/2,-z'
loop_
_atom_site_label
_atom_site_type_symbol
_atom_site_fract_x
_atom_site_fract_y
_atom_site_fract_z
Rb1 Rb 0.0000 0.0000 0.0000
Mg1 Mg 0.0000 0.3335 0.5000
As1 As 0.0000 0.6665 0.5000
F1 F 0.1152 0.4962 0.3140
F2 F 0.1865 0.1940 0.3146
F3 F 0.1962 0.8095 0.3151
```

Main lines, by intensity (10° ≤ 2θ ≤ 80°):
| Position (°2θ) | I/Imax | h k l |
| --- | --- | --- |
| 23.7 | 100 | 1 1 1 |
| 44.3 | 43 | 1 3 -2 |
| 32.3 | 17 | 2 0 0 |
| 40.5 | 17 | 0 4 1 |
| 52.7 | 14 | 2 4 -1 |
| 59.9 | 11 | 0 4 3 |
| 35.7 | 10 | 2 0 -1 |
| 14.6 | 10 | 0 0 1 |


No. 4
Structure and simulated XRD peak list of MgTlAsF6 (a PBE-relaxed structure; Cu Kα X-rays).
Neutral-atom scattering factors, no anomalous dispersion.

Structure:
```
data_MgTlAsF6
_chemical_formula_sum 'Mg2 Tl2 As2 F12'
_symmetry_space_group_name_H-M 'C 1 2 1'
_symmetry_Int_Tables_number 5
_cell_length_a 5.5352
_cell_length_b 9.6181
_cell_length_c 6.0294
_cell_angle_alpha 90.00
_cell_angle_beta 90.02
_cell_angle_gamma 90.00
loop_
_symmetry_equiv_pos_as_xyz
'x,y,z'
'-x,y,-z'
'x+1/2,y+1/2,z'
'-x+1/2,y+1/2,-z'
loop_
_atom_site_label
_atom_site_type_symbol
_atom_site_fract_x
_atom_site_fract_y
_atom_site_fract_z
Mg1 Mg 0.0000 0.0000 0.0000
Tl1 Tl 0.0000 0.6665 0.5000
As1 As 0.0000 0.3329 0.0000
F1 F 0.1174 0.1626 0.8143
F2 F 0.1855 0.8595 0.8148
F3 F 0.1951 0.4770 0.8155
```

Main lines, by intensity (10° ≤ 2θ ≤ 80°):
| Position (°2θ) | I/Imax | h k l |
| --- | --- | --- |
| 23.7 | 100 | 1 1 1 |
| 44.4 | 33 | 1 3 -2 |
| 18.5 | 22 | 0 2 0 |
| 40.4 | 20 | 0 4 1 |
| 32.3 | 20 | 2 0 0 |
| 52.6 | 15 | 2 4 -1 |
| 35.1 | 15 | 1 1 2 |
| 49.1 | 12 | 1 1 -3 |


Q: Which formula does entry 1 have?
A: KRbAsF6